# 1
This entry pairs a crystal structure of Mn6Mo6P7 with its calculated XRD peak list. Radiation: Cu Kα (weighted mean of Kα1 and Kα2). Structure: DFT lattice parameters and positions (GGA-PBE).
Kinematic intensities with the Lorentz-polarization factor, no thermal factor.

Main lines, in order of rising 2θ (2θ = 10–90°):
- 2θ = 29.1°, I 26
- 2θ = 40.0°, I 100
- 2θ = 43.2°, I 21
- 2θ = 47.5°, I 14
- 2θ = 51.5°, I 15
- 2θ = 79.1°, I 19

Atomic structure:
```
Mn6Mo6P7
1.0
9.385 0.000 0.000
-4.692 8.127 0.000
0.000 0.000 3.310
Mn Mo P
6 6 7
Cartesian
-3.398 6.164 0.000
1.860 0.111 1.655
1.053 2.102 0.000
2.345 7.988 0.000
3.859 6.461 1.655
8.358 1.555 1.655
-1.154 4.139 0.000
-0.531 7.057 0.000
1.684 5.059 0.000
3.047 2.970 1.655
5.289 1.154 1.655
5.741 4.004 1.655
0.000 0.000 0.000
-1.886 5.851 1.655
0.568 3.569 1.655
3.330 1.220 0.000
1.318 6.835 1.655
4.083 4.634 0.000
6.663 2.274 0.000
```

=====

# 2
This entry pairs a crystal structure of Mn2SiMo with its calculated XRD peak list. Radiation: Cu Kα (weighted mean of Kα1 and Kα2). Structure: DFT lattice parameters and positions (GGA-PBE).
Kinematic intensities with the Lorentz-polarization factor, no thermal factor.

Main lines, in order of rising 2θ (2θ = 10–90°):
- 2θ = 38.6°, I 54
- 2θ = 40.8°, I 79
- 2θ = 41.7°, I 55
- 2θ = 44.6°, I 61
- 2θ = 44.7°, I 55
- 2θ = 46.2°, I 100

Atomic structure:
```
Mn2SiMo
1.0
4.017 -2.378 0.000
4.017 2.378 0.000
-0.337 0.000 7.763
Mn Si Mo
6 3 3
Cartesian
0.000 0.000 0.000
-0.003 0.000 3.777
1.295 0.000 5.940
4.613 1.138 1.849
4.613 -1.138 1.849
6.570 0.000 1.897
3.264 1.180 5.669
2.588 0.000 0.673
3.264 -1.180 5.669
2.578 0.000 3.355
5.303 0.000 4.321
5.290 0.000 7.212
```

=====

# 3
This entry pairs a crystal structure of MnN with its calculated XRD peak list. Radiation: Cu Kα (weighted mean of Kα1 and Kα2). Structure: DFT lattice parameters and positions (GGA-PBE).
Kinematic intensities with the Lorentz-polarization factor, no thermal factor.

Main lines, in order of rising 2θ (2θ = 10–90°):
- 2θ = 37.7°, I 82
- 2θ = 43.8°, I 100
- 2θ = 63.6°, I 56
- 2θ = 76.3°, I 29
- 2θ = 80.4°, I 18

Atomic structure:
```
MnN
1.0
4.137 0.000 0.000
0.000 4.137 0.000
0.000 0.000 4.137
Mn N
4 4
Cartesian
0.000 0.000 0.000
0.000 2.069 2.069
2.069 0.000 2.069
2.069 2.069 0.000
0.000 0.000 2.069
0.000 2.069 0.000
2.069 0.000 0.000
2.069 2.069 2.069
```

=====

# 4
This entry pairs a crystal structure of MnN with its calculated XRD peak list. Radiation: Cu Kα (weighted mean of Kα1 and Kα2). Structure: DFT lattice parameters and positions (GGA-PBE).
Kinematic intensities with the Lorentz-polarization factor, no thermal factor.

Main lines, in order of rising 2θ (2θ = 10–90°):
- 2θ = 33.1°, I 100
- 2θ = 33.5°, I 55
- 2θ = 37.0°, I 50
- 2θ = 37.2°, I 65
- 2θ = 50.5°, I 51
- 2θ = 50.6°, I 58

Atomic structure:
```
MnN
1.0
2.989 0.000 0.000
0.000 2.709 0.000
-0.556 0.000 4.855
Mn N
2 2
Cartesian
0.000 0.000 0.000
0.919 0.000 2.712
0.904 1.354 4.115
2.422 0.000 1.814
```

=====

# 5
This entry pairs a crystal structure of Mn3N2 with its calculated XRD peak list. Radiation: Cu Kα (weighted mean of Kα1 and Kα2). Structure: DFT lattice parameters and positions (GGA-PBE).
Kinematic intensities with the Lorentz-polarization factor, no thermal factor.

Main lines, in order of rising 2θ (2θ = 10–90°):
- 2θ = 37.3°, I 100
- 2θ = 46.1°, I 54
- 2θ = 46.3°, I 22
- 2θ = 46.4°, I 27
- 2θ = 60.8°, I 24
- 2θ = 79.5°, I 29

Atomic structure:
```
Mn3N2
1.0
5.273 0.000 0.000
0.000 3.060 0.000
-0.031 0.000 5.882
Mn N
6 4
Cartesian
0.000 0.000 0.000
0.860 1.530 1.968
1.745 0.000 3.914
2.636 1.530 0.000
3.497 0.000 1.968
4.381 1.530 3.914
0.871 1.530 4.457
1.734 0.000 1.425
3.508 0.000 4.457
4.370 1.530 1.425
```

=====

# 6
This entry pairs a crystal structure of MnN with its calculated XRD peak list. Radiation: Cu Kα (weighted mean of Kα1 and Kα2). Structure: DFT lattice parameters and positions (GGA-PBE).
Kinematic intensities with the Lorentz-polarization factor, no thermal factor.

Main lines, in order of rising 2θ (2θ = 10–90°):
- 2θ = 35.5°, I 60
- 2θ = 51.0°, I 100
- 2θ = 63.7°, I 14
- 2θ = 75.1°, I 13
- 2θ = 85.9°, I 18

Atomic structure:
```
MnN
1.0
2.531 0.000 0.000
0.000 2.531 0.000
0.000 0.000 2.531
Mn N
1 1
Cartesian
0.000 0.000 0.000
1.265 1.265 1.265
```

=====

Repeat the third record exactly.
This entry pairs a crystal structure of MnN with its calculated XRD peak list. Radiation: Cu Kα (weighted mean of Kα1 and Kα2). Structure: DFT lattice parameters and positions (GGA-PBE).
Kinematic intensities with the Lorentz-polarization factor, no thermal factor.

Main lines, in order of rising 2θ (2θ = 10–90°):
- 2θ = 37.7°, I 82
- 2θ = 43.8°, I 100
- 2θ = 63.6°, I 56
- 2θ = 76.3°, I 29
- 2θ = 80.4°, I 18

Atomic structure:
```
MnN
1.0
4.137 0.000 0.000
0.000 4.137 0.000
0.000 0.000 4.137
Mn N
4 4
Cartesian
0.000 0.000 0.000
0.000 2.069 2.069
2.069 0.000 2.069
2.069 2.069 0.000
0.000 0.000 2.069
0.000 2.069 0.000
2.069 0.000 0.000
2.069 2.069 2.069
```